Record 1
The following is a calculated X-ray powder pattern of CdSiTe2. It was derived from a structure optimized by DFT (PBE), using Cu Kα, 1.54184 Å.
Kinematic intensities with the Lorentz-polarization factor, no thermal factor.

Largest 6 diffraction maxima, in order of falling intensity, 2θ = 5–70°:
| d_spacing | Rel. int. |
| --- | --- |
| 2.984 | 100 |
| 2.117 | 38 |
| 2.104 | 35 |
| 1.726 | 20 |
| 1.492 | 11 |
| 3.453 | 10 |

Crystal structure
```
data_CdSiTe2
_chemical_formula_sum 'Cd3 Si3 Te6'
_symmetry_space_group_name_H-M 'R -3 m'
_symmetry_Int_Tables_number 166
_symmetry_space_group_name_Hall '-R 3 2"'
_cell_length_a 4.2331
_cell_length_b 4.2331
_cell_length_c 20.5517
_cell_angle_alpha 90.00
_cell_angle_beta 90.00
_cell_angle_gamma 120.00
loop_
_atom_site_label
_atom_site_type_symbol
_atom_site_fract_x
_atom_site_fract_y
_atom_site_fract_z
_atom_site_occupancy
Cd1 Cd 0.0000 0.0000 0.0000 1
Si1 Si 0.0000 0.0000 0.5000 1
Te1 Te 0.0000 0.0000 0.2437 1
```


Record 2
The following is a calculated X-ray powder pattern of Cd4SiTe6. It was derived from a structure optimized by DFT (PBE), using Cu Kα, 1.54184 Å.
Kinematic intensities with the Lorentz-polarization factor, no thermal factor.

Largest 6 diffraction maxima, in order of falling intensity, 2θ = 5–70°:
| d_spacing | Rel. int. |
| --- | --- |
| 3.444 | 100 |
| 2.199 | 56 |
| 3.301 | 54 |
| 3.867 | 32 |
| 2.334 | 32 |
| 2.203 | 29 |

Crystal structure
```
data_Cd4SiTe6
_chemical_formula_sum 'Cd16 Si4 Te24'
_symmetry_space_group_name_H-M 'C 1 c 1'
_symmetry_Int_Tables_number 9
_cell_length_a 14.0048
_cell_length_b 8.0937
_cell_length_c 13.9670
_cell_angle_alpha 90.00
_cell_angle_beta 109.64
_cell_angle_gamma 90.00
loop_
_symmetry_equiv_pos_as_xyz
'x,y,z'
'x,-y,z+1/2'
'x+1/2,y+1/2,z'
'x+1/2,-y+1/2,z+1/2'
loop_
_atom_site_label
_atom_site_type_symbol
_atom_site_fract_x
_atom_site_fract_y
_atom_site_fract_z
_atom_site_occupancy
Cd1 Cd 0.0000 0.0678 0.0000 1
Cd2 Cd 0.1609 0.3952 0.4922 1
Cd3 Cd 0.1805 0.1004 0.8044 1
Cd4 Cd 0.3660 0.2083 0.1581 1
Si1 Si 0.4311 0.2665 0.7423 1
Te1 Te 0.0522 0.2328 0.6136 1
Te2 Te 0.1206 0.2489 0.2921 1
Te3 Te 0.1769 0.2496 0.9917 1
Te4 Te 0.3572 0.2248 0.5534 1
Te5 Te 0.3566 0.4840 0.2961 1
Te6 Te 0.3867 0.0153 0.8260 1
```